MnSn4H24C8Se10N2: computed X-ray diffraction stick pattern (λ = 1.5418 Å (Cu Kα)), based on a cell relaxed with PBE.
Kinematic intensities with the Lorentz-polarization factor, no thermal factor.

Principal peaks in the range 2θ from 10° to 90°, most intense first:
2θ/deg  I/Imax
10.30  100.0
25.77  76.3
16.60  32.7
44.24  26.9
47.78  19.5
20.69  18.0
39.52  17.2
20.26  17.1
29.90  14.8
35.86  13.5
42.79  12.8
48.40  8.6

Crystal structure
Cell: 10.1986 10.1986 15.8993 Å, 90.00 90.00 90.00°
Space group I-4 (No. 82)
Inequivalent atoms, fractional coordinates:
Mn1 0.0000 0.0000 0.0000 [2 per cell]
Sn1 0.0742 0.6877 0.1582 [8 per cell]
H1 0.0002 0.1482 0.5929 [8 per cell]
H2 0.0418 0.8597 0.4047 [8 per cell]
H3 0.0532 0.3004 0.7360 [8 per cell]
H4 0.0536 0.6351 0.6552 [8 per cell]
H5 0.0909 0.6179 0.8430 [8 per cell]
H6 0.1270 0.1643 0.5144 [8 per cell]
C1 0.0319 0.3845 0.6952 [8 per cell]
C2 0.0726 0.0959 0.5546 [8 per cell]
Se1 0.0000 0.5000 0.0591 [4 per cell]
Se2 0.1157 0.2274 0.2504 [8 per cell]
Se3 0.1315 0.1774 0.9266 [8 per cell]
N1 0.0000 0.0000 0.5000 [2 per cell]
N2 0.0000 0.5000 0.7500 [2 per cell]